This entry pairs a crystal structure of Ba2AlPd2 with its computed XRD peak list. Radiation: λ = 1.5418 Å (Cu Kα). Structure: a DFT-relaxed cell (GGA-PBE, Alexandria).
No peak broadening, texture or thermal motion is included.

Top 8 peaks for 10° ≤ 2θ ≤ 90°, by intensity:
2θ 23.34, rel. 100; 2θ 40.67, rel. 97; 2θ 31.33, rel. 76; 2θ 33.46, rel. 74; 2θ 74.00, rel. 21; 2θ 53.64, rel. 19; 2θ 41.70, rel. 19; 2θ 52.21, rel. 18

Structural model:
```
15
Lattice="4.4381 0.0000 0.0000 -2.2190 3.8435 0.0000 0.0000 0.0000 29.8621" Properties=species:S:1:pos:R:3 pbc="T T T"
Ba 0.0000 0.0000 2.2715
Ba 0.0000 0.0000 27.5906
Ba 0.0000 2.5623 17.6365
Ba 0.0000 2.5623 22.1796
Ba 2.2190 1.2812 7.6825
Ba 2.2190 1.2812 12.2255
Al 0.0000 0.0000 14.9310
Al 0.0000 2.5623 4.9770
Al 2.2190 1.2812 24.8851
Pd 0.0000 0.0000 5.5948
Pd 0.0000 0.0000 24.2673
Pd 0.0000 2.5623 14.3132
Pd 0.0000 2.5623 25.5029
Pd 2.2190 1.2812 4.3592
Pd 2.2190 1.2812 15.5489
```

This entry pairs a crystal structure of Cr2CdAg with its computed XRD peak list. Radiation: λ = 1.5418 Å (Cu Kα). Structure: a DFT-relaxed cell (GGA-PBE, Alexandria).
No peak broadening, texture or thermal motion is included.

Top 8 peaks for 10° ≤ 2θ ≤ 90°, by intensity:
2θ 41.09, rel. 100; 2θ 38.53, rel. 34; 2θ 29.43, rel. 25; 2θ 37.18, rel. 20; 2θ 39.59, rel. 20; 2θ 63.09, rel. 18; 2θ 71.45, rel. 17; 2θ 56.44, rel. 13

Structural model:
```
8
Lattice="2.9724 0.0000 0.0000 0.0000 4.6727 0.0000 0.0000 0.0000 9.1057" Properties=species:S:1:pos:R:3 pbc="T T T"
Cr 0.0000 0.0000 0.0000
Cr 0.0000 2.3363 1.6051
Cr 1.4862 0.0000 1.6051
Cr 1.4862 2.3363 0.0000
Cd 0.0000 2.3363 6.6178
Cd 1.4862 0.0000 6.6178
Ag 0.0000 0.0000 3.9868
Ag 1.4862 2.3363 3.9868
```

This entry pairs a crystal structure of RbInPb2Se4 with its computed XRD peak list. Radiation: λ = 1.5418 Å (Cu Kα). Structure: a DFT-relaxed cell (GGA-PBE, Alexandria).
No peak broadening, texture or thermal motion is included.

Top 8 peaks for 10° ≤ 2θ ≤ 90°, by intensity:
2θ 28.55, rel. 100; 2θ 40.82, rel. 46; 2θ 66.92, rel. 18; 2θ 40.26, rel. 14; 2θ 41.38, rel. 13; 2θ 50.09, rel. 13; 2θ 51.04, rel. 12; 2θ 59.10, rel. 11

Structural model:
```
16
Lattice="-4.3637 4.4802 6.2539 4.3637 -4.4802 6.2539 4.3637 4.4802 -6.2539" Properties=species:S:1:pos:R:3 pbc="T T T"
Rb -2.1818 2.2401 3.1269
Rb 2.1818 2.2401 3.1269
In 0.0000 0.0000 0.0000
In 0.0000 4.4802 0.0000
Pb 2.1818 2.2401 -3.1269
Pb 2.1818 -2.2401 3.1269
Pb 4.3637 0.0000 0.0000
Pb 0.0000 0.0000 6.2539
Se 4.3637 4.3295 -3.5792
Se 2.1921 2.2401 -0.0993
Se 6.5352 2.2401 -0.0993
Se 4.3637 -0.1507 3.5792
Se 0.0000 4.6309 2.6747
Se -2.1716 2.2401 6.3532
Se 2.1716 2.2401 6.3532
Se 0.0000 0.1507 9.8331
```

> What is the formula in the second record?

Cr2CdAg

> Number 1 is which compound?

Ba2AlPd2

> Number 3 is which compound?

RbInPb2Se4